# 1
Structure and calculated PXRD pattern of AgI (the PBE geometry in the Materials Project; a wavelength of 1.5418 Å).
Kinematic intensities with the Lorentz-polarization factor, no thermal factor.

Cell and atoms:
Cell: 6.641 6.641 6.641 Å, 90.00 90.00 90.00°
Element x y z (fractional)
Ag (0.000, 0.000, 0.000)
Ag (0.000, 0.500, 0.500)
Ag (0.500, 0.000, 0.500)
Ag (0.500, 0.500, 0.000)
I (0.250, 0.250, 0.750)
I (0.250, 0.750, 0.250)
I (0.750, 0.250, 0.250)
I (0.750, 0.750, 0.750)

Most intense lines, 2θ from 10° to 90°, by angle:
| 2θ (°) | I_rel |
| --- | --- |
| 23.20 | 100 |
| 38.34 | 79 |
| 45.29 | 49 |
| 55.34 | 13 |
| 60.80 | 20 |
| 69.32 | 26 |
| 74.20 | 15 |
| 86.75 | 15 |

=====

# 2
Structure and calculated PXRD pattern of Zn3N2 (the PBE geometry in the Materials Project; a wavelength of 1.5418 Å).
Kinematic intensities with the Lorentz-polarization factor, no thermal factor.

Cell and atoms:
Cell: 8.539 8.539 8.539 Å, 109.47 109.47 109.47°
Element x y z (fractional)
Zn (0.022, 0.473, 0.750)
Zn (0.027, 0.049, 0.277)
Zn (0.049, 0.277, 0.027)
Zn (0.223, 0.271, 0.750)
Zn (0.229, 0.451, 0.478)
Zn (0.250, 0.777, 0.729)
Zn (0.250, 0.978, 0.527)
Zn (0.271, 0.750, 0.223)
Zn (0.277, 0.027, 0.049)
Zn (0.451, 0.478, 0.229)
Zn (0.473, 0.750, 0.022)
Zn (0.478, 0.229, 0.451)
Zn (0.522, 0.771, 0.549)
Zn (0.527, 0.250, 0.978)
Zn (0.549, 0.522, 0.771)
Zn (0.723, 0.973, 0.951)
Zn (0.729, 0.250, 0.777)
Zn (0.750, 0.022, 0.473)
Zn (0.750, 0.223, 0.271)
Zn (0.771, 0.549, 0.522)
Zn (0.777, 0.729, 0.250)
Zn (0.951, 0.723, 0.973)
Zn (0.973, 0.951, 0.723)
Zn (0.978, 0.527, 0.250)
N (0.000, 0.000, 0.500)
N (0.000, 0.500, 0.000)
N (0.019, 0.750, 0.769)
N (0.231, 0.981, 0.250)
N (0.250, 0.231, 0.981)
N (0.250, 0.731, 0.481)
N (0.269, 0.519, 0.750)
N (0.481, 0.250, 0.731)
N (0.500, 0.000, 0.000)
N (0.500, 0.500, 0.500)
N (0.519, 0.750, 0.269)
N (0.731, 0.481, 0.250)
N (0.750, 0.269, 0.519)
N (0.750, 0.769, 0.019)
N (0.769, 0.019, 0.750)
N (0.981, 0.250, 0.231)

Most intense lines, 2θ from 10° to 90°, by angle:
| 2θ (°) | I_rel |
| --- | --- |
| 34.02 | 100 |
| 36.45 | 93 |
| 43.03 | 64 |
| 50.72 | 9 |
| 52.50 | 82 |
| 65.60 | 12 |
| 70.14 | 45 |
| 76.00 | 31 |

=====

# 3
Structure and calculated PXRD pattern of Dy3TaO7 (the PBE geometry in the Materials Project; a wavelength of 1.5418 Å).
Kinematic intensities with the Lorentz-polarization factor, no thermal factor.

Cell and atoms:
Cell: 8.148 8.148 5.367 Å, 90.00 90.00 125.42°
Element x y z (fractional)
Dy (0.000, 0.500, 0.500)
Dy (0.120, 0.880, 0.971)
Dy (0.380, 0.620, 0.971)
Dy (0.500, 0.000, 0.500)
Dy (0.620, 0.380, 0.029)
Dy (0.880, 0.120, 0.029)
Ta (0.250, 0.250, 0.500)
Ta (0.750, 0.750, 0.500)
O (0.012, 0.988, 0.711)
O (0.100, 0.338, 0.736)
O (0.162, 0.400, 0.264)
O (0.250, 0.750, 0.742)
O (0.338, 0.100, 0.264)
O (0.400, 0.162, 0.736)
O (0.488, 0.512, 0.711)
O (0.512, 0.488, 0.289)
O (0.600, 0.838, 0.264)
O (0.662, 0.900, 0.736)
O (0.750, 0.250, 0.258)
O (0.838, 0.600, 0.736)
O (0.900, 0.662, 0.264)
O (0.988, 0.012, 0.289)

Most intense lines, 2θ from 10° to 90°, by angle:
| 2θ (°) | I_rel |
| --- | --- |
| 29.12 | 100 |
| 29.77 | 96 |
| 33.39 | 23 |
| 34.50 | 45 |
| 48.76 | 77 |
| 50.41 | 15 |
| 58.17 | 29 |
| 59.28 | 26 |

=====

# 4
Structure and calculated PXRD pattern of Mg3Zr (the PBE geometry in the Materials Project; a wavelength of 1.5418 Å).
Kinematic intensities with the Lorentz-polarization factor, no thermal factor.

Cell and atoms:
Cell: 4.460 4.460 4.460 Å, 90.00 90.00 90.00°
Element x y z (fractional)
Mg (0.000, 0.000, 0.500)
Mg (0.000, 0.500, 0.000)
Mg (0.500, 0.000, 0.000)
Zr (0.500, 0.500, 0.500)

Most intense lines, 2θ from 10° to 90°, by angle:
| 2θ (°) | I_rel |
| --- | --- |
| 19.91 | 49 |
| 28.30 | 41 |
| 34.84 | 100 |
| 40.45 | 49 |
| 45.47 | 22 |
| 50.10 | 16 |
| 58.53 | 32 |
| 69.95 | 36 |

=====

# 5
Structure and calculated PXRD pattern of YAlCu (the PBE geometry in the Materials Project; a wavelength of 1.5418 Å).
Kinematic intensities with the Lorentz-polarization factor, no thermal factor.

Cell and atoms:
Cell: 7.016 7.016 4.057 Å, 90.00 90.00 120.00°
Element x y z (fractional)
Y (0.000, 0.414, 0.000)
Y (0.414, 0.000, 0.000)
Y (0.586, 0.586, 0.000)
Al (0.000, 0.766, 0.500)
Al (0.234, 0.234, 0.500)
Al (0.766, 0.000, 0.500)
Cu (0.000, 0.000, 0.000)
Cu (0.333, 0.667, 0.500)
Cu (0.667, 0.333, 0.500)

Most intense lines, 2θ from 10° to 90°, by angle:
| 2θ (°) | I_rel |
| --- | --- |
| 25.39 | 24 |
| 33.78 | 83 |
| 36.97 | 100 |
| 39.23 | 27 |
| 44.71 | 51 |
| 45.38 | 23 |
| 59.39 | 21 |
| 71.58 | 20 |

=====

# 6
Structure and calculated PXRD pattern of Y2Fe17C3 (the PBE geometry in the Materials Project; a wavelength of 1.5418 Å).
Kinematic intensities with the Lorentz-polarization factor, no thermal factor.

Cell and atoms:
Cell: 6.495 6.495 6.495 Å, 83.43 83.43 83.43°
Element x y z (fractional)
Y (0.158, 0.158, 0.158)
Y (0.842, 0.842, 0.842)
Fe (0.000, 0.500, 0.500)
Fe (0.157, 0.157, 0.646)
Fe (0.157, 0.646, 0.157)
Fe (0.216, 0.500, 0.784)
Fe (0.216, 0.784, 0.500)
Fe (0.354, 0.843, 0.843)
Fe (0.405, 0.405, 0.405)
Fe (0.500, 0.000, 0.500)
Fe (0.500, 0.216, 0.784)
Fe (0.500, 0.500, 0.000)
Fe (0.500, 0.784, 0.216)
Fe (0.595, 0.595, 0.595)
Fe (0.646, 0.157, 0.157)
Fe (0.784, 0.216, 0.500)
Fe (0.784, 0.500, 0.216)
Fe (0.843, 0.354, 0.843)
Fe (0.843, 0.843, 0.354)
C (0.000, 0.000, 0.500)
C (0.000, 0.500, 0.000)
C (0.500, 0.000, 0.000)

Most intense lines, 2θ from 10° to 90°, by angle:
| 2θ (°) | I_rel |
| --- | --- |
| 29.82 | 20 |
| 35.99 | 33 |
| 37.54 | 29 |
| 41.80 | 81 |
| 42.24 | 100 |
| 43.56 | 59 |
| 47.41 | 47 |
| 48.63 | 21 |

=====

# 7
Structure and calculated PXRD pattern of Mg6Si5 (the PBE geometry in the Materials Project; a wavelength of 1.5418 Å).
Kinematic intensities with the Lorentz-polarization factor, no thermal factor.

Cell and atoms:
Cell: 5.344 6.286 13.402 Å, 95.75 101.35 90.10°
Element x y z (fractional)
Mg (0.000, 0.000, 0.000)
Mg (0.012, 0.513, 0.008)
Mg (0.049, 0.221, 0.782)
Mg (0.073, 0.809, 0.226)
Mg (0.176, 0.720, 0.807)
Mg (0.213, 0.288, 0.212)
Mg (0.468, 0.010, 0.447)
Mg (0.507, 0.296, 0.645)
Mg (0.525, 0.768, 0.087)
Mg (0.623, 0.607, 0.326)
Mg (0.661, 0.292, 0.119)
Mg (0.956, 0.550, 0.561)
Si (0.122, 0.539, 0.374)
Si (0.291, 0.879, 0.637)
Si (0.453, 0.618, 0.520)
Si (0.463, 0.055, 0.931)
Si (0.463, 0.440, 0.931)
Si (0.629, 0.023, 0.266)
Si (0.654, 0.927, 0.788)
Si (0.708, 0.553, 0.813)
Si (0.966, 0.118, 0.565)
Si (0.993, 0.171, 0.390)

Most intense lines, 2θ from 10° to 90°, by angle:
| 2θ (°) | I_rel |
| --- | --- |
| 30.40 | 42 |
| 33.02 | 69 |
| 34.26 | 100 |
| 35.18 | 88 |
| 36.08 | 82 |
| 38.89 | 52 |
| 39.50 | 87 |
| 42.99 | 34 |